Starting from a DFT-relaxed cell (GGA-PBE, Alexandria), the X-ray diffraction stick pattern of Sm7Al7Co6 was calculated for λ = 1.5418 Å (Cu Kα).

Top 8 peaks for 10° ≤ 2θ ≤ 80°, sorted by position:
23.26 deg, rel. 25, (1 1 1)
25.89 deg, rel. 34, (2 1 1)
33.94 deg, rel. 100, (4 0 1)
35.23 deg, rel. 29, (3 3 1)
36.47 deg, rel. 27, (4 2 1)
39.44 deg, rel. 46, (4 3 1)
40.14 deg, rel. 36, (6 1 0)
43.46 deg, rel. 35, (0 0 2)

Structural model:
```
data_Sm7Al7Co6
_space_group_name_H-M_alt 'P 4/m b m'
_space_group_IT_number 127
_space_group_name_Hall '-P 4 2ab'
_cell_length_a 13.6638
_cell_length_b 13.6638
_cell_length_c 4.1649
_cell_angle_alpha 90.00
_cell_angle_beta 90.00
_cell_angle_gamma 90.00
loop_
_atom_site_label
_atom_site_fract_x
_atom_site_fract_y
_atom_site_fract_z
Sm1 0.0000 0.0000 0.0000
Sm2 0.0483 0.2616 0.0000
Sm3 0.1305 0.6305 0.5000
Al1 0.0000 0.5000 0.0000
Al2 0.0960 0.8616 0.5000
Al3 0.2150 0.2850 0.5000
Co1 0.0749 0.4251 0.5000
Co2 0.1624 0.7876 0.0000
```